Diffraction record for Re2CSeS. The XRD peak list is simulated, not measured: it uses a GGA-PBE-relaxed structure and Cu Kα (λ = 1.5418 Å).
No peak broadening, texture or thermal motion is included.

Structural model:
```
data_Re2CSeS
_space_group_name_H-M_alt 'P 3 m 1'
_space_group_IT_number 156
_cell_length_a 3.3565
_cell_length_b 3.3565
_cell_length_c 8.9294
_cell_angle_alpha 90.00
_cell_angle_beta 90.00
_cell_angle_gamma 120.00
loop_
_space_group_symop_operation_xyz
'x,y,z'
'-y,x-y,z'
'-x+y,-x,z'
'-y,-x,z'
'-x+y,y,z'
'x,x-y,z'
loop_
_atom_site_label
_atom_site_fract_x
_atom_site_fract_y
_atom_site_fract_z
Re1 0.0000 0.0000 0.0000
Re2 0.3333 0.6667 0.2222
C1 0.6667 0.3333 0.0627
Se1 0.3333 0.6667 0.7961
S1 0.0000 0.0000 0.3824
```

The 10 most intense peaks (10 to 90 degrees two-theta), sorted by position:
30.76°, intensity 32; 32.39°, intensity 26; 36.90°, intensity 100; 43.52°, intensity 50; 54.69°, intensity 27; 55.73°, intensity 15; 67.81°, intensity 17; 70.16°, intensity 12; 72.35°, intensity 11; 78.15°, intensity 16

Diffraction record for Tb12Re5C15. The XRD peak list is simulated, not measured: it uses a GGA-PBE-relaxed structure and Cu Kα (λ = 1.5418 Å).
No peak broadening, texture or thermal motion is included.

Structural model:
```
data_Tb12Re5C15
_space_group_name_H-M_alt 'P -6 2 m'
_space_group_IT_number 189
_space_group_name_Hall 'P -6 -2'
_cell_length_a 10.7615
_cell_length_b 10.7615
_cell_length_c 5.1174
_cell_angle_alpha 90.00
_cell_angle_beta 90.00
_cell_angle_gamma 120.00
loop_
_atom_site_label
_atom_site_fract_x
_atom_site_fract_y
_atom_site_fract_z
Tb1 0.0000 0.4264 0.0000
Tb2 0.0000 0.7947 0.0000
Tb3 0.1861 0.7300 0.5000
Re1 0.0000 0.1514 0.5000
Re2 0.3333 0.6667 0.0000
C1 0.0000 0.3320 0.5000
C2 0.0000 0.4581 0.5000
C3 0.0000 0.7853 0.5000
C4 0.1880 0.7195 0.0000
```

The 10 most intense peaks (10 to 90 degrees two-theta), sorted by position:
30.82°, intensity 100; 33.75°, intensity 22; 34.70°, intensity 41; 35.07°, intensity 37; 37.78°, intensity 15; 39.03°, intensity 9; 50.17°, intensity 29; 57.95°, intensity 12; 60.28°, intensity 15; 63.34°, intensity 11

Diffraction record for Sc2Ta4C3S3. The XRD peak list is simulated, not measured: it uses a GGA-PBE-relaxed structure and Cu Kα (λ = 1.5418 Å).
No peak broadening, texture or thermal motion is included.

Structural model:
```
data_Sc2Ta4C3S3
_space_group_name_H-M_alt 'C 1 2/c 1'
_space_group_IT_number 15
_cell_length_a 9.952
_cell_length_b 5.768
_cell_length_c 12.131
_cell_angle_alpha 90.00
_cell_angle_beta 105.76
_cell_angle_gamma 90.00
loop_
_space_group_symop_operation_xyz
'x,y,z'
'-x,-y,-z'
'-x,y,-z+1/2'
'x,-y,z+1/2'
'x+1/2,y+1/2,z'
'-x+1/2,-y+1/2,-z'
'-x+1/2,y+1/2,-z+1/2'
'x+1/2,-y+1/2,z+1/2'
loop_
_atom_site_label
_atom_site_fract_x
_atom_site_fract_y
_atom_site_fract_z
Sc1 0.045 0.081 0.394
Ta1 0.115 0.411 0.593
Ta2 0.222 0.420 0.907
C1 0.084 0.253 0.000
C2 0.250 0.250 0.500
S1 0.000 0.426 0.250
S2 0.172 0.089 0.751
```

The 10 most intense peaks (10 to 90 degrees two-theta), sorted by position:
15.18°, intensity 23; 17.95°, intensity 25; 18.52°, intensity 18; 30.63°, intensity 16; 31.07°, intensity 41; 32.00°, intensity 26; 38.89°, intensity 100; 38.98°, intensity 49; 55.22°, intensity 28; 69.72°, intensity 18

Diffraction record for TmScCS. The XRD peak list is simulated, not measured: it uses a GGA-PBE-relaxed structure and Cu Kα (λ = 1.5418 Å).
No peak broadening, texture or thermal motion is included.

Structural model:
```
data_TmScCS
_space_group_name_H-M_alt 'P -6 m 2'
_space_group_IT_number 187
_space_group_name_Hall 'P -6 2'
_cell_length_a 3.5492
_cell_length_b 3.5492
_cell_length_c 12.3115
_cell_angle_alpha 90.00
_cell_angle_beta 90.00
_cell_angle_gamma 120.00
loop_
_atom_site_label
_atom_site_fract_x
_atom_site_fract_y
_atom_site_fract_z
Tm1 0.0000 0.0000 0.1524
Sc1 0.3333 0.6667 0.3585
C1 0.6667 0.3333 0.2593
S1 0.0000 0.0000 0.5000
S2 0.3333 0.6667 0.0000
```

The 10 most intense peaks (10 to 90 degrees two-theta), sorted by position:
21.66°, intensity 19; 29.04°, intensity 59; 29.96°, intensity 28; 36.52°, intensity 100; 41.52°, intensity 19; 51.50°, intensity 26; 53.71°, intensity 18; 60.20°, intensity 16; 64.77°, intensity 18; 87.21°, intensity 16

Diffraction record for Sm3CS2. The XRD peak list is simulated, not measured: it uses a GGA-PBE-relaxed structure and Cu Kα (λ = 1.5418 Å).
No peak broadening, texture or thermal motion is included.

Structural model:
```
data_Sm3CS2
_space_group_name_H-M_alt 'I m m m'
_space_group_IT_number 71
_space_group_name_Hall '-I 2 2'
_cell_length_a 3.844
_cell_length_b 5.554
_cell_length_c 12.016
_cell_angle_alpha 90.00
_cell_angle_beta 90.00
_cell_angle_gamma 90.00
loop_
_atom_site_label
_atom_site_fract_x
_atom_site_fract_y
_atom_site_fract_z
Sm1 0.000 0.000 0.000
Sm2 0.000 0.000 0.356
C1 0.000 0.500 0.000
S1 0.000 0.500 0.328
```

The 10 most intense peaks (10 to 90 degrees two-theta), sorted by position:
27.45°, intensity 45; 28.24°, intensity 50; 32.26°, intensity 100; 46.27°, intensity 46; 47.30°, intensity 12; 54.22°, intensity 9; 55.56°, intensity 14; 56.67°, intensity 9; 58.40°, intensity 13; 76.80°, intensity 17